SmTmGa4: theoretical XRD peak list (Cu Kα, 1.54184 Å), based on a GGA-PBE-relaxed structure.
No peak broadening, texture or thermal motion is included.

Structural model:
```
12
Lattice="4.272 0.000 0.000 0.000 7.010 0.000 0.000 0.000 8.257" Properties=species:S:1:pos:R:3 pbc="T T T"
Sm 0.000 0.000 0.000
Sm 2.136 3.505 4.129
Tm 0.000 3.505 7.263
Tm 2.136 0.000 3.135
Ga 0.000 1.358 4.987
Ga 0.000 2.091 2.320
Ga 0.000 4.920 2.320
Ga 0.000 5.653 4.987
Ga 2.136 1.414 6.449
Ga 2.136 2.147 0.858
Ga 2.136 4.863 0.858
Ga 2.136 5.596 6.449
```

Top 6 peaks for 2θ from 10° to 90°, sorted by position:
2θ (°)	I (rel.)	index
32.76	62.1	1 1 2
33.54	35.2	0 2 2
34.85	100.0	1 2 1
38.92	38.4	1 0 3
42.31	31.2	2 0 0
64.01	25.2	1 3 4